# 1
This entry pairs a crystal structure of TmCu3Te3 with its simulated X-ray diffraction stick pattern. Radiation: Cu Kα (λ = 1.5418 Å). Structure: a crystal structure in Alexandria, relaxed with GGA-PBE.

Structural model:
a = 6.915 Å, b = 7.607 Å, c = 12.832 Å
α = 90.00°, β = 90.00°, γ = 90.00°
Positions (direct):
Tm 0.000 0.000 0.161
Tm 0.000 0.000 0.839
Tm 0.500 0.500 0.339
Tm 0.500 0.500 0.661
Cu 0.123 0.368 0.174
Cu 0.123 0.368 0.826
Cu 0.127 0.372 0.500
Cu 0.373 0.872 0.000
Cu 0.377 0.868 0.326
Cu 0.377 0.868 0.674
Cu 0.623 0.132 0.326
Cu 0.623 0.132 0.674
Cu 0.627 0.128 0.000
Cu 0.873 0.628 0.500
Cu 0.877 0.632 0.174
Cu 0.877 0.632 0.826
Te 0.235 0.183 0.337
Te 0.235 0.183 0.663
Te 0.247 0.198 0.000
Te 0.253 0.698 0.500
Te 0.265 0.683 0.163
Te 0.265 0.683 0.837
Te 0.735 0.317 0.163
Te 0.735 0.317 0.837
Te 0.747 0.302 0.500
Te 0.753 0.802 0.000
Te 0.765 0.817 0.337
Te 0.765 0.817 0.663

Largest 6 diffraction maxima, by angle, 10° ≤ 2θ ≤ 90°:
- 2θ = 24.47°, intensity 75
- 2θ = 27.18°, intensity 84
- 2θ = 35.07°, intensity 66
- 2θ = 35.41°, intensity 65
- 2θ = 41.40°, intensity 100
- 2θ = 46.31°, intensity 63


# 2
This entry pairs a crystal structure of Nd4Y5In with its simulated X-ray diffraction stick pattern. Radiation: Cu Kα (λ = 1.5418 Å). Structure: a crystal structure in Alexandria, relaxed with GGA-PBE.

Structural model:
a = 8.180 Å, b = 8.180 Å, c = 8.180 Å
α = 97.41°, β = 97.41°, γ = 137.92°
Positions (direct):
Nd 0.000 0.314 0.314
Nd 0.000 0.686 0.686
Nd 0.314 0.000 0.314
Nd 0.686 0.000 0.686
Y 0.202 0.202 0.000
Y 0.317 0.317 0.631
Y 0.317 0.686 0.000
Y 0.686 0.317 0.000
Y 0.686 0.686 0.369
In 0.720 0.720 0.000

Largest 6 diffraction maxima, by angle, 10° ≤ 2θ ≤ 90°:
- 2θ = 23.85°, intensity 18
- 2θ = 29.10°, intensity 100
- 2θ = 30.44°, intensity 16
- 2θ = 35.27°, intensity 42
- 2θ = 53.28°, intensity 26
- 2θ = 59.55°, intensity 18


# 3
This entry pairs a crystal structure of Tl2GaAgSe4 with its simulated X-ray diffraction stick pattern. Radiation: Cu Kα (λ = 1.5418 Å). Structure: a crystal structure in Alexandria, relaxed with GGA-PBE.

Structural model:
a = 7.172 Å, b = 7.172 Å, c = 8.916 Å
α = 90.00°, β = 90.00°, γ = 90.00°
Positions (direct):
Tl 0.000 0.000 0.000
Tl 0.000 0.500 0.250
Tl 0.500 0.000 0.750
Tl 0.500 0.500 0.500
Ga 0.000 0.500 0.750
Ga 0.500 0.000 0.250
Ag 0.000 0.000 0.500
Ag 0.500 0.500 0.000
Se 0.198 0.293 0.605
Se 0.207 0.698 0.895
Se 0.293 0.802 0.395
Se 0.302 0.207 0.105
Se 0.698 0.793 0.105
Se 0.707 0.198 0.395
Se 0.793 0.302 0.895
Se 0.802 0.707 0.605

Largest 6 diffraction maxima, by angle, 10° ≤ 2θ ≤ 90°:
- 2θ = 24.83°, intensity 14
- 2θ = 26.62°, intensity 100
- 2θ = 29.60°, intensity 21
- 2θ = 35.40°, intensity 37
- 2θ = 44.84°, intensity 47
- 2θ = 48.06°, intensity 32


# 4
This entry pairs a crystal structure of Ca3Ag2Hg4Au2 with its simulated X-ray diffraction stick pattern. Radiation: Cu Kα (λ = 1.5418 Å). Structure: a crystal structure in Alexandria, relaxed with GGA-PBE.

Structural model:
a = 4.959 Å, b = 4.959 Å, c = 12.767 Å
α = 90.00°, β = 90.00°, γ = 120.00°
Positions (direct):
Ca 0.000 0.000 0.000
Ca 0.000 0.000 0.275
Ca 0.000 0.000 0.725
Ag 0.333 0.667 0.616
Ag 0.667 0.333 0.384
Hg 0.333 0.667 0.391
Hg 0.333 0.667 0.860
Hg 0.667 0.333 0.140
Hg 0.667 0.333 0.609
Au 0.333 0.667 0.133
Au 0.667 0.333 0.867

Largest 6 diffraction maxima, by angle, 10° ≤ 2θ ≤ 90°:
- 2θ = 20.68°, intensity 56
- 2θ = 27.95°, intensity 41
- 2θ = 35.03°, intensity 56
- 2θ = 36.23°, intensity 100
- 2θ = 46.37°, intensity 65
- 2θ = 51.29°, intensity 21